Calculated powder XRD pattern of LiY4Cd3 for Cu Kα X-rays, from a structure optimized by DFT (PBE).
Intensities are scaled so that the largest is 100.

The 10 most intense peaks (2θ = 5–70°), in order of rising 2θ:
hkl 0 0 2, 2θ = 11.87°, I = 4.5
hkl 1 0 1, 2θ = 17.76°, I = 7.4
hkl 1 0 3, 2θ = 24.56°, I = 4.2
hkl 1 1 2, 2θ = 26.62°, I = 3.1
hkl 2 0 0, 2θ = 33.89°, I = 100.0
hkl 2 1 1, 2θ = 38.46°, I = 2.1
hkl 2 2 0, 2θ = 48.59°, I = 11.7
hkl 0 0 8, 2θ = 48.86°, I = 5.7
hkl 3 1 4, 2θ = 60.58°, I = 23.6
hkl 2 0 8, 2θ = 60.76°, I = 11.6

Structural model:
Unit cell a=5.299 b=5.299 c=14.911 alpha=90.00 beta=90.00 gamma=90.00
Space group I4/mmm (No. 139)
Asymmetric unit:
Li 0.000 0.000 0.000
Y 0.000 0.500 0.124
Cd 0.000 0.000 0.248
Cd 0.000 0.000 0.500

Calculated powder XRD pattern of DyMgSb2 for Cu Kα X-rays, from a structure optimized by DFT (PBE).
Intensities are scaled so that the largest is 100.

The 10 most intense peaks (2θ = 5–70°), in order of rising 2θ:
hkl 0 0 1, 2θ = 8.20°, I = 24.5
hkl 1 0 2, 2θ = 26.19°, I = 29.5
hkl 1 1 1, 2θ = 29.98°, I = 10.6
hkl 1 1 2, 2θ = 33.32°, I = 100.0
hkl 1 0 4, 2θ = 39.23°, I = 23.9
hkl 2 0 0, 2θ = 41.17°, I = 33.2
hkl 2 1 2, 2θ = 49.45°, I = 10.3
hkl 2 0 4, 2θ = 53.90°, I = 9.4
hkl 2 1 4, 2θ = 58.17°, I = 15.0
hkl 2 2 0, 2θ = 59.63°, I = 11.0

Structural model:
Unit cell a=4.385 b=4.385 c=10.783 alpha=90.00 beta=90.00 gamma=90.00
Space group P4/nmm (No. 129, origin choice 2)
Asymmetric unit:
Dy 0.250 0.250 0.216
Mg 0.250 0.750 0.500
Sb 0.250 0.250 0.683
Sb 0.250 0.750 0.000

Calculated powder XRD pattern of TbCdPb for Cu Kα X-rays, from a structure optimized by DFT (PBE).
Intensities are scaled so that the largest is 100.

The 10 most intense peaks (2θ = 5–70°), in order of rising 2θ:
hkl 1 3 1, 2θ = 32.70°, I = 100.0
hkl 0 6 0, 2θ = 33.76°, I = 21.7
hkl 2 0 0, 2θ = 38.59°, I = 16.3
hkl 0 0 2, 2θ = 41.15°, I = 13.6
hkl 2 6 0, 2θ = 52.19°, I = 12.7
hkl 0 6 2, 2θ = 54.24°, I = 11.3
hkl 1 9 1, 2θ = 59.71°, I = 15.5
hkl 3 3 1, 2θ = 66.13°, I = 13.2
hkl 2 6 2, 2θ = 68.53°, I = 11.2
hkl 1 3 3, 2θ = 69.67°, I = 11.3

Structural model:
Unit cell a=4.666 b=15.931 c=4.387 alpha=90.00 beta=90.00 gamma=90.00
Space group Cmcm (No. 63)
Asymmetric unit:
Tb 0.000 0.093 0.250
Cd 0.000 0.257 0.750
Pb 0.000 0.421 0.250

Calculated powder XRD pattern of UAg2S5 for Cu Kα X-rays, from a structure optimized by DFT (PBE).
Intensities are scaled so that the largest is 100.

The 10 most intense peaks (2θ = 5–70°), in order of rising 2θ:
hkl 0 0 1, 2θ = 14.86°, I = 62.0
hkl 1 0 0, 2θ = 15.31°, I = 69.5
hkl 0 1 0, 2θ = 16.57°, I = 29.7
hkl 0 1 1, 2θ = 17.21°, I = 100.0
hkl 1 1 1, 2θ = 18.03°, I = 77.0
hkl 1 2 2, 2θ = 32.03°, I = 55.1
hkl 1 -1 1, 2θ = 33.17°, I = 47.6
hkl 1 0 -2, 2θ = 34.77°, I = 25.3
hkl 2 1 -1, 2θ = 37.13°, I = 41.8
hkl 1 -2 0, 2θ = 41.84°, I = 21.0

Structural model:
Unit cell a=6.358 b=6.418 c=6.716 alpha=62.78 beta=76.09 gamma=65.78
Space group P1 (No. 1)
Asymmetric unit:
U 0.000 0.000 0.000
Ag 0.012 0.478 0.480
Ag 0.364 0.262 0.019
S 0.046 0.124 0.280
S 0.313 0.575 0.176
S 0.318 0.135 0.726
S 0.697 0.836 0.250
S 0.698 0.405 0.779

Calculated powder XRD pattern of Ce2Dy3Ho8 for Cu Kα X-rays, from a structure optimized by DFT (PBE).
Intensities are scaled so that the largest is 100.

The 10 most intense peaks (2θ = 5–70°), in order of rising 2θ:
hkl 4 0 -2, 2θ = 26.83°, I = 12.2
hkl 3 3 -2, 2θ = 30.76°, I = 44.5
hkl 4 0 0, 2θ = 31.02°, I = 18.6
hkl 1 1 3, 2θ = 31.19°, I = 48.2
hkl 0 4 1, 2θ = 31.35°, I = 27.5
hkl 1 3 2, 2θ = 31.59°, I = 100.0
hkl 1 1 -4, 2θ = 31.99°, I = 14.6
hkl 4 2 0, 2θ = 34.59°, I = 11.1
hkl 3 3 -4, 2θ = 38.00°, I = 22.9
hkl 2 2 -7, 2θ = 57.57°, I = 11.8

Structural model:
Unit cell a=13.332 b=11.866 c=12.089 alpha=90.00 beta=120.14 gamma=90.00
Space group C2/c (No. 15)
Asymmetric unit:
Ce 0.040 0.159 0.050
Dy 0.000 0.047 0.750
Dy 0.000 0.373 0.250
Dy 0.000 0.500 0.000
Ho 0.110 0.310 0.727
Ho 0.215 0.155 0.392
Ho 0.223 0.372 0.038
Ho 0.229 0.052 0.670

Calculated powder XRD pattern of La3Sm4Dy4 for Cu Kα X-rays, from a structure optimized by DFT (PBE).
Intensities are scaled so that the largest is 100.

The 10 most intense peaks (2θ = 5–70°), in order of rising 2θ:
hkl 3 1 1, 2θ = 30.08°, I = 28.2
hkl 1 0 4, 2θ = 30.50°, I = 14.9
hkl 0 2 0, 2θ = 30.88°, I = 37.4
hkl 2 1 3, 2θ = 31.58°, I = 100.0
hkl 4 0 0, 2θ = 33.10°, I = 15.8
hkl 1 2 4, 2θ = 43.96°, I = 11.0
hkl 4 2 0, 2θ = 45.89°, I = 12.7
hkl 2 3 3, 2θ = 55.34°, I = 27.5
hkl 3 1 7, 2θ = 61.28°, I = 12.8
hkl 5 2 4, 2θ = 61.54°, I = 12.2

Structural model:
Unit cell a=10.827 b=5.792 c=12.178 alpha=90.00 beta=90.00 gamma=90.00
Space group Amm2 (No. 38)
Asymmetric unit:
La 0.000 0.000 0.000
La 0.289 0.000 0.158
Sm 0.000 0.000 0.703
Sm 0.216 0.000 0.495
Sm 0.500 0.000 0.633
Dy 0.000 0.000 0.304
Dy 0.304 0.000 0.854
Dy 0.500 0.000 0.362

Calculated powder XRD pattern of Er2Zr3N4 for Cu Kα X-rays, from a structure optimized by DFT (PBE).
Intensities are scaled so that the largest is 100.

The 10 most intense peaks (2θ = 5–70°), in order of rising 2θ:
hkl 1 1 1, 2θ = 32.93°, I = 100.0
hkl 2 0 2, 2θ = 37.75°, I = 24.5
hkl 3 1 -2, 2θ = 38.44°, I = 47.0
hkl 5 1 0, 2θ = 54.97°, I = 30.9
hkl 6 0 -4, 2θ = 55.41°, I = 7.5
hkl 0 2 0, 2θ = 55.57°, I = 7.9
hkl 6 0 1, 2θ = 65.12°, I = 13.3
hkl 7 1 -3, 2θ = 66.00°, I = 13.6
hkl 4 2 -1, 2θ = 66.11°, I = 13.7
hkl 2 2 2, 2θ = 69.14°, I = 7.7

Structural model:
Unit cell a=11.028 b=3.308 c=8.172 alpha=90.00 beta=118.72 gamma=90.00
Space group C2/m (No. 12)
Asymmetric unit:
Er 0.103 0.000 0.392
Zr 0.000 0.500 0.000
Zr 0.211 0.500 0.817
N 0.101 0.000 0.903
N 0.202 0.500 0.295

Calculated powder XRD pattern of Y3Ho8Pu for Cu Kα X-rays, from a structure optimized by DFT (PBE).
Intensities are scaled so that the largest is 100.

The 10 most intense peaks (2θ = 5–70°), in order of rising 2θ:
hkl 1 0 1, 2θ = 12.92°, I = 59.1
hkl 1 1 0, 2θ = 14.55°, I = 68.7
hkl 2 1 1, 2θ = 24.42°, I = 71.2
hkl 2 2 0, 2θ = 29.35°, I = 75.3
hkl 0 0 4, 2θ = 31.64°, I = 56.7
hkl 2 1 3, 2θ = 33.26°, I = 50.3
hkl 2 2 2, 2θ = 33.43°, I = 43.3
hkl 1 1 4, 2θ = 34.98°, I = 44.9
hkl 3 1 2, 2θ = 36.64°, I = 100.0
hkl 4 0 2, 2θ = 45.07°, I = 63.3

Structural model:
Unit cell a=8.608 b=8.608 c=11.313 alpha=90.00 beta=90.00 gamma=90.00
Space group I-42m (No. 121)
Asymmetric unit:
Y 0.000 0.000 0.000
Y 0.000 0.500 0.250
Ho 0.127 0.127 0.269
Ho 0.230 0.230 0.534
Pu 0.000 0.000 0.500

Calculated powder XRD pattern of CaAc2Au3 for Cu Kα X-rays, from a structure optimized by DFT (PBE).
Intensities are scaled so that the largest is 100.

The 10 most intense peaks (2θ = 5–70°), in order of rising 2θ:
hkl 0 0 1, 2θ = 6.68°, I = 4.8
hkl 1 0 1, 2θ = 20.01°, I = 11.1
hkl 1 1 0, 2θ = 32.94°, I = 100.0
hkl 1 0 4, 2θ = 33.09°, I = 97.7
hkl 1 1 3, 2θ = 38.89°, I = 6.1
hkl 0 2 4, 2θ = 47.39°, I = 36.4
hkl 3 0 0, 2θ = 58.89°, I = 57.8
hkl 0 1 8, 2θ = 59.21°, I = 19.0
hkl 2 2 0, 2θ = 69.09°, I = 12.1
hkl 2 0 8, 2θ = 69.44°, I = 11.9

Structural model:
Unit cell a=5.4378 b=5.4378 c=13.2320 alpha=90.00 beta=90.00 gamma=120.00
Space group P-3m1 (No. 164)
Asymmetric unit:
Ca 0.3333 0.6667 0.1630
Ac 0.0000 0.0000 0.0000
Ac 0.0000 0.0000 0.5000
Ac 0.3333 0.6667 0.6755
Au 0.0000 0.0000 0.2482
Au 0.3333 0.6667 0.4155
Au 0.3333 0.6667 0.9206

Calculated powder XRD pattern of Sc12TlNi6 for Cu Kα X-rays, from a structure optimized by DFT (PBE).
Intensities are scaled so that the largest is 100.

The 10 most intense peaks (2θ = 5–70°), in order of rising 2θ:
hkl 2 0 0, 2θ = 19.61°, I = 39.3
hkl 2 1 1, 2θ = 24.08°, I = 21.8
hkl 2 2 2, 2θ = 34.31°, I = 25.2
hkl 3 2 1, 2θ = 37.16°, I = 100.0
hkl 4 0 0, 2θ = 39.83°, I = 17.3
hkl 4 1 1, 2θ = 42.36°, I = 19.8
hkl 4 1 3, 2θ = 51.47°, I = 36.3
hkl 6 0 0, 2θ = 61.45°, I = 9.6
hkl 5 3 2, 2θ = 63.33°, I = 20.7
hkl 5 4 1, 2θ = 66.99°, I = 11.0

Structural model:
Unit cell a=9.053 b=9.053 c=9.053 alpha=90.00 beta=90.00 gamma=90.00
Space group Im-3 (No. 204)
Asymmetric unit:
Sc 0.000 0.189 0.297
Tl 0.000 0.000 0.000
Ni 0.000 0.370 0.500

Calculated powder XRD pattern of Sm12ZnNi5 for Cu Kα X-rays, from a structure optimized by DFT (PBE).
Intensities are scaled so that the largest is 100.

The 10 most intense peaks (2θ = 5–70°), in order of rising 2θ:
hkl 0 3 1, 2θ = 28.73°, I = 23.0
hkl 3 1 0, 2θ = 29.75°, I = 30.1
hkl 2 2 2, 2θ = 31.77°, I = 71.4
hkl 1 3 2, 2θ = 34.09°, I = 100.0
hkl 2 3 1, 2θ = 34.54°, I = 28.8
hkl 3 2 1, 2θ = 35.00°, I = 23.9
hkl 4 0 0, 2θ = 38.05°, I = 17.3
hkl 0 3 5, 2θ = 53.61°, I = 14.9
hkl 2 5 3, 2θ = 57.91°, I = 16.7
hkl 5 3 2, 2θ = 59.38°, I = 27.1

Structural model:
Unit cell a=9.460 b=9.803 c=10.030 alpha=90.00 beta=90.00 gamma=90.00
Space group Immm (No. 71)
Asymmetric unit:
Sm 0.000 0.189 0.215
Sm 0.196 0.500 0.175
Sm 0.205 0.321 0.500
Zn 0.000 0.000 0.500
Ni 0.000 0.000 0.000
Ni 0.000 0.364 0.000
Ni 0.000 0.500 0.375

Calculated powder XRD pattern of Nd4Ho2Sc for Cu Kα X-rays, from a structure optimized by DFT (PBE).
Intensities are scaled so that the largest is 100.

The 10 most intense peaks (2θ = 5–70°), in order of rising 2θ:
hkl 2 0 0, 2θ = 30.59°, I = 100.0
hkl 1 7 -1, 2θ = 30.66°, I = 99.2
hkl 1 7 1, 2θ = 35.46°, I = 67.2
hkl 2 0 -2, 2θ = 35.60°, I = 33.3
hkl 2 0 2, 2θ = 50.93°, I = 12.0
hkl 3 7 -1, 2θ = 51.13°, I = 59.0
hkl 3 7 1, 2θ = 60.63°, I = 28.5
hkl 2 0 -4, 2θ = 60.77°, I = 34.8
hkl 4 0 -2, 2θ = 60.90°, I = 20.9
hkl 2 14 -2, 2θ = 63.85°, I = 12.1

Structural model:
Unit cell a=6.183 b=25.014 c=6.194 alpha=90.00 beta=109.17 gamma=90.00
Space group C2/c (No. 15)
Asymmetric unit:
Nd 0.000 0.036 0.250
Nd 0.000 0.248 0.750
Nd 0.000 0.322 0.250
Nd 0.000 0.462 0.250
Ho 0.000 0.177 0.250
Ho 0.000 0.393 0.750
Sc 0.000 0.107 0.750